[1]
For NpMnO4, DFT lattice parameters and positions (PBE+U) gives the calculated powder XRD pattern in this record (Cu Kα).

Main lines, in order of rising 2θ (2θ from 5° to 70°):
Position (°2θ), I (rel.)
18.53, 81
26.06, 52
26.58, 48
31.83, 100
36.89, 26
37.57, 25
49.74, 39
50.35, 35

Structural model:
a = 4.789 Å, b = 4.789 Å, c = 3.473 Å
α = 90.00°, β = 90.00°, γ = 91.12°
Fractional coordinates of all 6 atoms:
Np1 0.000 0.000 0.000
Mn1 0.500 0.500 0.500
O1 0.189 0.811 0.500
O2 0.293 0.293 0.000
O3 0.707 0.707 0.000
O4 0.811 0.189 0.500



[2]
For NpMnO5, DFT lattice parameters and positions (PBE+U) gives the calculated powder XRD pattern in this record (Cu Kα).

Main lines, in order of rising 2θ (2θ from 5° to 70°):
Position (°2θ), I (rel.)
17.56, 100
23.01, 80
23.24, 84
24.74, 48
26.74, 58
27.89, 41
32.93, 43
42.29, 34

Structural model:
a = 5.292 Å, b = 5.292 Å, c = 4.150 Å
α = 105.29°, β = 105.29°, γ = 93.85°
Fractional coordinates of all 7 atoms:
Np1 0.000 0.000 0.000
Mn1 0.500 0.500 0.000
O1 0.000 0.000 0.500
O2 0.254 0.746 0.000
O3 0.300 0.300 0.199
O4 0.700 0.700 0.801
O5 0.746 0.254 0.000



[3]
For NpMnPb2O6, DFT lattice parameters and positions (PBE+U) gives the calculated powder XRD pattern in this record (Cu Kα).

Main lines, in order of rising 2θ (2θ from 5° to 70°):
Position (°2θ), I (rel.)
18.25, 18
30.08, 100
30.14, 68
30.40, 34
43.25, 32
53.35, 38
53.84, 31
62.63, 20

Structural model:
a = 5.881 Å, b = 5.954 Å, c = 10.260 Å
α = 90.00°, β = 124.91°, γ = 90.00°
Fractional coordinates of all 20 atoms:
Np1 0.000 0.000 0.000
Np2 0.000 0.500 0.500
Mn1 0.500 0.000 0.500
Mn2 0.500 0.500 0.000
Pb1 0.253 0.033 0.753
Pb2 0.253 0.467 0.253
Pb3 0.747 0.533 0.747
Pb4 0.747 0.967 0.247
O1 0.168 0.023 0.245
O2 0.168 0.477 0.745
O3 0.238 0.717 0.040
O4 0.238 0.783 0.540
O5 0.322 0.199 0.033
O6 0.322 0.301 0.533
O7 0.678 0.699 0.467
O8 0.678 0.801 0.967
O9 0.762 0.217 0.460
O10 0.762 0.283 0.960
O11 0.832 0.523 0.255
O12 0.832 0.977 0.755



[4]
For ThNpMn2O8, DFT lattice parameters and positions (PBE+U) gives the calculated powder XRD pattern in this record (Cu Kα).

Main lines, in order of rising 2θ (2θ from 5° to 70°):
Position (°2θ), I (rel.)
18.55, 100
25.28, 72
27.38, 60
29.69, 87
32.60, 57
37.30, 33
37.61, 32
45.30, 27

Structural model:
a = 4.824 Å, b = 4.824 Å, c = 7.241 Å
α = 95.90°, β = 95.90°, γ = 84.96°
Fractional coordinates of all 12 atoms:
Th1 0.000 0.000 0.000
Np1 0.000 0.000 0.500
Mn1 0.474 0.474 0.773
Mn2 0.526 0.526 0.227
O1 0.201 0.791 0.733
O2 0.209 0.799 0.267
O3 0.278 0.278 0.552
O4 0.323 0.323 0.022
O5 0.677 0.677 0.978
O6 0.722 0.722 0.448
O7 0.791 0.201 0.733
O8 0.799 0.209 0.267



[5]
For YNpMn2O8, DFT lattice parameters and positions (PBE+U) gives the calculated powder XRD pattern in this record (Cu Kα).

Main lines, in order of rising 2θ (2θ from 5° to 70°):
Position (°2θ), I (rel.)
18.52, 87
21.75, 50
25.58, 98
27.02, 85
30.82, 100
33.38, 67
37.55, 38
37.85, 38

Structural model:
a = 4.816 Å, b = 4.816 Å, c = 6.900 Å
α = 94.99°, β = 94.99°, γ = 86.52°
Fractional coordinates of all 12 atoms:
Y1 0.000 0.000 0.000
Np1 0.000 0.000 0.500
Mn1 0.479 0.479 0.776
Mn2 0.521 0.521 0.224
O1 0.201 0.798 0.729
O2 0.202 0.799 0.271
O3 0.283 0.283 0.543
O4 0.322 0.322 0.017
O5 0.678 0.678 0.983
O6 0.717 0.717 0.457
O7 0.798 0.201 0.729
O8 0.799 0.202 0.271



[6]
For Y2NpMnO8, DFT lattice parameters and positions (PBE+U) gives the calculated powder XRD pattern in this record (Cu Kα).

Main lines, in order of rising 2θ (2θ from 5° to 70°):
Position (°2θ), I (rel.)
12.78, 48
22.66, 53
24.45, 100
26.23, 83
30.55, 99
32.41, 63
36.16, 39
45.67, 36

Structural model:
a = 4.990 Å, b = 4.992 Å, c = 6.954 Å
α = 86.20°, β = 86.24°, γ = 85.80°
Fractional coordinates of all 12 atoms:
Y1 0.033 0.033 0.233
Y2 0.967 0.967 0.767
Np1 0.500 0.500 0.500
Mn1 0.500 0.500 0.000
O1 0.205 0.793 0.500
O2 0.215 0.785 0.000
O3 0.297 0.295 0.694
O4 0.341 0.341 0.245
O5 0.659 0.659 0.755
O6 0.703 0.705 0.306
O7 0.785 0.215 0.000
O8 0.795 0.207 0.500



[7]
For NpMnZnO6, DFT lattice parameters and positions (PBE+U) gives the calculated powder XRD pattern in this record (Cu Kα).

Main lines, in order of rising 2θ (2θ from 5° to 70°):
Position (°2θ), I (rel.)
19.55, 77
21.87, 80
27.78, 100
34.18, 64
39.68, 75
44.60, 34
53.36, 64
57.36, 29

Structural model:
a = 5.247 Å, b = 5.247 Å, c = 9.081 Å
α = 90.00°, β = 90.00°, γ = 120.00°
Fractional coordinates of all 18 atoms:
Np1 0.333 0.667 0.250
Np2 0.667 0.333 0.750
Mn1 0.000 0.000 0.000
Mn2 0.000 0.000 0.500
Zn1 0.333 0.667 0.750
Zn2 0.667 0.333 0.250
O1 0.013 0.339 0.128
O2 0.013 0.675 0.372
O3 0.325 0.339 0.372
O4 0.325 0.987 0.128
O5 0.339 0.013 0.628
O6 0.339 0.325 0.872
O7 0.661 0.675 0.128
O8 0.661 0.987 0.372
O9 0.675 0.013 0.872
O10 0.675 0.661 0.628
O11 0.987 0.325 0.628
O12 0.987 0.661 0.872